Simulated powder X-ray diffraction pattern of Ca3Ru4O14 for Cu Kα, 1.54184 Å, from DFT lattice parameters and positions (PBE).
Intensities are scaled so that the largest is 100.

Cell and atoms:
```
Ca3Ru4O14
1.0
3.6381 2.1004 5.9146
-3.6381 2.1004 5.9146
0.0000 -4.2009 5.9146
Ca Ru O
3 4 14
Cartesian
-1.8190 -1.0502 5.9146
-1.8190 1.0502 11.8291
0.0000 2.1004 5.9146
0.0000 0.0000 0.0000
-3.6380 0.0000 8.8718
-1.8190 1.0502 2.9573
1.8190 1.0502 2.9573
-2.2868 -1.3203 8.4616
0.0000 -2.5670 4.8537
-2.2231 1.2835 4.8537
0.0000 -2.6405 9.2821
-2.2868 1.3203 9.2821
-2.2231 -1.2835 12.8900
0.0000 0.0000 6.5663
0.0000 0.0000 11.1774
2.2231 1.2835 4.8537
2.2868 -1.3203 8.4616
0.0000 2.6405 8.4616
2.2231 -1.2835 12.8900
0.0000 2.5670 12.8900
2.2868 1.3203 9.2821
```

Largest 10 diffraction maxima, by angle, 5° ≤ 2θ ≤ 70°:
two_theta, intensity
14.9, 78
28.8, 50
30.1, 100
30.2, 34
34.9, 31
45.9, 14
50.2, 32
50.3, 33
59.7, 41
59.8, 13

***

Simulated powder X-ray diffraction pattern of Ce3TiAlS7 for Cu Kα, 1.54184 Å, from DFT lattice parameters and positions (PBE).
Intensities are scaled so that the largest is 100.

Cell and atoms:
```
Ce3TiAlS7
1.0
10.0757 0.0000 0.0000
-5.0378 8.7258 0.0000
0.0000 0.0000 6.1113
Ce Ti Al S
6 2 2 14
Cartesian
-0.4606 3.2129 0.0000
-2.0251 7.5183 0.0000
2.5521 2.0053 3.0556
2.4857 6.7205 0.0000
7.0630 1.2075 3.0556
5.4984 5.5129 3.0556
0.0000 0.0000 1.8712
0.0000 0.0000 4.9269
0.0000 5.8172 2.5975
5.0379 2.9086 5.6532
-0.2676 1.9965 3.4108
-1.9482 5.0710 1.6782
-3.1750 7.9594 3.4108
1.5952 1.2300 0.3552
0.0000 5.8172 4.8366
1.6204 4.5031 1.6782
0.3279 7.8775 1.6782
4.7100 0.8483 4.7338
3.4175 4.2227 4.7338
5.0379 2.9086 1.7810
3.4427 7.4958 3.4108
8.2129 0.7665 0.3552
6.9861 3.6548 4.7338
5.3055 6.7293 0.3552
```

Largest 10 diffraction maxima, by angle, 5° ≤ 2θ ≤ 70°:
two_theta, intensity
17.7, 39
22.9, 33
25.1, 100
27.0, 32
34.1, 33
35.6, 34
35.9, 41
37.2, 27
40.1, 45
40.2, 34

***

Simulated powder X-ray diffraction pattern of Nb3Te4 for Cu Kα, 1.54184 Å, from DFT lattice parameters and positions (PBE).
Intensities are scaled so that the largest is 100.

Cell and atoms:
```
Nb3Te4
1.0
11.8904 0.0000 0.0000
-5.9452 10.2974 0.0000
0.0000 0.0000 3.6089
Nb Te
6 8
Cartesian
-1.9352 4.8802 0.9022
-0.7513 9.5332 0.9022
3.2587 4.1160 2.7067
2.6865 6.1814 0.9022
6.6965 0.7641 2.7067
7.8804 5.4172 2.7067
-3.3830 7.4183 0.9022
1.2123 3.6585 0.9022
0.0000 6.8649 0.9022
3.7745 0.7794 2.7067
2.1707 9.5180 0.9022
5.9452 3.4325 2.7067
4.7329 6.6389 2.7067
9.3281 2.8791 2.7067
```

Largest 10 diffraction maxima, by angle, 5° ≤ 2θ ≤ 70°:
two_theta, intensity
8.6, 100
14.9, 17
26.0, 34
26.2, 62
31.3, 45
33.9, 17
39.3, 14
40.1, 22
40.3, 86
43.2, 25

***

Simulated powder X-ray diffraction pattern of SrOsO3 for Cu Kα, 1.54184 Å, from DFT lattice parameters and positions (PBE).
Intensities are scaled so that the largest is 100.

Cell and atoms:
```
SrOsO3
1.0
3.9924 0.0000 0.0000
0.0000 3.9924 0.0000
0.0000 0.0000 3.9924
Sr Os O
1 1 3
Cartesian
0.0000 0.0000 0.0000
1.9962 1.9962 1.9962
0.0000 1.9962 1.9962
1.9962 0.0000 1.9962
1.9962 1.9962 0.0000
```

Largest 7 diffraction maxima, by angle, 5° ≤ 2θ ≤ 70°:
two_theta, intensity
22.3, 24
31.7, 100
39.1, 1
45.4, 29
51.2, 10
56.5, 40
66.2, 18

***

Simulated powder X-ray diffraction pattern of KNdSn4O12 for Cu Kα, 1.54184 Å, from DFT lattice parameters and positions (PBE).
Intensities are scaled so that the largest is 100.

Cell and atoms:
```
KNdSn4O12
1.0
8.1875 0.0000 0.0000
0.0000 4.0721 4.0957
0.0000 -4.0721 4.0957
K Nd Sn O
1 1 4 12
Cartesian
0.0000 0.0000 0.0000
4.0938 0.0000 4.3398
2.0062 -1.9935 2.1481
2.0062 1.9935 2.1481
6.1814 -1.9935 2.1481
6.1814 1.9935 2.1481
0.0000 -1.8729 2.1180
0.0000 1.8729 2.1180
2.1158 0.0000 6.1185
2.2974 -1.9608 4.1957
2.2974 1.9608 4.1957
2.4766 0.0000 2.3475
4.0938 -1.7646 6.1014
4.0938 1.7646 6.1014
5.7109 0.0000 2.3475
5.8901 -1.9608 4.1957
5.8901 1.9608 4.1957
6.0717 0.0000 6.1185
```

Largest 10 diffraction maxima, by angle, 5° ≤ 2θ ≤ 70°:
two_theta, intensity
18.8, 23
21.7, 30
21.8, 15
30.9, 100
44.2, 24
44.5, 12
49.8, 14
55.0, 29
55.1, 14
64.6, 14

***

Simulated powder X-ray diffraction pattern of Te2MoWS2 for Cu Kα, 1.54184 Å, from DFT lattice parameters and positions (PBE).
Intensities are scaled so that the largest is 100.

Cell and atoms:
```
Te2MoWS2
1.0
3.3612 0.0000 0.0000
-1.6806 2.9109 0.0000
0.0000 0.0000 38.3063
Te Mo W S
4 2 2 4
Cartesian
0.0000 0.0000 0.0000
0.0000 0.0000 3.8018
0.0000 0.0000 14.4080
0.0000 0.0000 18.1825
0.0000 0.0000 33.0114
0.0000 1.9406 16.2962
0.0000 0.0000 9.0992
0.0000 1.9406 1.9021
0.0000 1.9406 7.5807
0.0000 1.9406 10.6162
0.0000 1.9406 31.4980
0.0000 1.9406 34.5252
```

Largest 10 diffraction maxima, by angle, 5° ≤ 2θ ≤ 70°:
two_theta, intensity
6.9, 38
11.6, 100
13.9, 21
30.7, 56
36.1, 94
37.4, 16
43.7, 46
45.5, 16
54.6, 33
67.2, 15

***

Simulated powder X-ray diffraction pattern of AlPO4 for Cu Kα, 1.54184 Å, from DFT lattice parameters and positions (PBE).
Intensities are scaled so that the largest is 100.

Cell and atoms:
```
AlPO4
1.0
8.3920 -2.6270 0.0000
8.3920 2.6270 0.0000
-0.3232 0.0000 13.8597
Al P O
6 6 24
Cartesian
0.7355 0.0000 3.1983
5.7480 0.3340 6.3918
5.5380 0.0997 1.1782
10.7128 0.3340 7.4678
10.9229 0.0997 12.6815
15.7253 0.0000 10.6613
2.6241 0.3306 5.7264
2.4321 0.1046 0.5488
7.3901 0.0020 3.7000
9.0708 0.0020 10.1597
13.8368 0.3306 8.1333
14.0288 0.1046 13.3109
5.9939 1.8524 7.2163
1.3083 0.2941 1.5710
2.0795 0.1671 4.3051
6.1287 1.3610 0.1228
3.7915 0.1932 1.2714
4.1596 0.2545 5.6544
10.4669 1.8524 6.6434
7.9457 0.9866 10.5251
6.1658 0.2527 2.7995
8.5151 0.9866 3.3346
10.3322 1.3610 13.7369
6.9804 0.2095 5.1648
9.4805 0.2095 8.6949
5.8992 -0.9374 7.5804
10.2951 0.2527 11.0602
6.0632 -1.4346 0.5292
12.3013 0.2545 8.2053
12.6693 0.1932 12.5882
7.8778 -1.4445 3.5236
8.5831 -1.4445 10.3360
10.5616 -0.9374 6.2793
14.3814 0.1670 9.5546
15.1526 0.2941 12.2887
10.3976 -1.4346 13.3304
```

Largest 10 diffraction maxima, by angle, 5° ≤ 2θ ≤ 70°:
two_theta, intensity
16.4, 62
16.8, 30
18.8, 100
21.2, 20
24.0, 13
25.1, 39
26.1, 20
26.3, 13
30.1, 17
34.1, 15

***

Copy entry 2 word for word.
Simulated powder X-ray diffraction pattern of Ce3TiAlS7 for Cu Kα, 1.54184 Å, from DFT lattice parameters and positions (PBE).
Intensities are scaled so that the largest is 100.

Cell and atoms:
```
Ce3TiAlS7
1.0
10.0757 0.0000 0.0000
-5.0378 8.7258 0.0000
0.0000 0.0000 6.1113
Ce Ti Al S
6 2 2 14
Cartesian
-0.4606 3.2129 0.0000
-2.0251 7.5183 0.0000
2.5521 2.0053 3.0556
2.4857 6.7205 0.0000
7.0630 1.2075 3.0556
5.4984 5.5129 3.0556
0.0000 0.0000 1.8712
0.0000 0.0000 4.9269
0.0000 5.8172 2.5975
5.0379 2.9086 5.6532
-0.2676 1.9965 3.4108
-1.9482 5.0710 1.6782
-3.1750 7.9594 3.4108
1.5952 1.2300 0.3552
0.0000 5.8172 4.8366
1.6204 4.5031 1.6782
0.3279 7.8775 1.6782
4.7100 0.8483 4.7338
3.4175 4.2227 4.7338
5.0379 2.9086 1.7810
3.4427 7.4958 3.4108
8.2129 0.7665 0.3552
6.9861 3.6548 4.7338
5.3055 6.7293 0.3552
```

Largest 10 diffraction maxima, by angle, 5° ≤ 2θ ≤ 70°:
two_theta, intensity
17.7, 39
22.9, 33
25.1, 100
27.0, 32
34.1, 33
35.6, 34
35.9, 41
37.2, 27
40.1, 45
40.2, 34

***

Copy entry 6 word for word.
Simulated powder X-ray diffraction pattern of Te2MoWS2 for Cu Kα, 1.54184 Å, from DFT lattice parameters and positions (PBE).
Intensities are scaled so that the largest is 100.

Cell and atoms:
```
Te2MoWS2
1.0
3.3612 0.0000 0.0000
-1.6806 2.9109 0.0000
0.0000 0.0000 38.3063
Te Mo W S
4 2 2 4
Cartesian
0.0000 0.0000 0.0000
0.0000 0.0000 3.8018
0.0000 0.0000 14.4080
0.0000 0.0000 18.1825
0.0000 0.0000 33.0114
0.0000 1.9406 16.2962
0.0000 0.0000 9.0992
0.0000 1.9406 1.9021
0.0000 1.9406 7.5807
0.0000 1.9406 10.6162
0.0000 1.9406 31.4980
0.0000 1.9406 34.5252
```

Largest 10 diffraction maxima, by angle, 5° ≤ 2θ ≤ 70°:
two_theta, intensity
6.9, 38
11.6, 100
13.9, 21
30.7, 56
36.1, 94
37.4, 16
43.7, 46
45.5, 16
54.6, 33
67.2, 15